[1]
Li2Mn4OF8: computed powder XRD pattern (Cu Kα, 1.54184 Å), based on a DFT-relaxed cell (GGA+U, Alexandria).
Lines closer than 0.1° are merged.

Largest 10 diffraction maxima, low angle first, 10° ≤ 2θ ≤ 90°:
- 2θ = 18.7°, 4.744 Å, I = 54.2
- 2θ = 19.0°, 4.678 Å, I = 95.6
- 2θ = 22.6°, 3.931 Å, I = 41.0
- 2θ = 30.8°, 2.899 Å, I = 100.0
- 2θ = 31.1°, 2.878 Å, I = 77.1
- 2θ = 32.9°, 2.726 Å, I = 60.9
- 2θ = 38.0°, 2.368 Å, I = 38.2
- 2θ = 46.2°, 1.965 Å, I = 43.5
- 2θ = 50.5°, 1.809 Å, I = 71.3
- 2θ = 59.3°, 1.559 Å, I = 46.4

Cell and atoms:
Unit cell a=5.454 b=5.454 c=14.681 alpha=90.82 beta=90.82 gamma=59.08
Element x y z (fractional)
Li 0.012 0.988 0.500
Li 0.029 0.948 0.787
Li 0.948 0.029 0.287
Li 0.988 0.012 0.000
Mn 0.315 0.338 0.843
Mn 0.331 0.339 0.138
Mn 0.338 0.315 0.343
Mn 0.339 0.331 0.638
Mn 0.634 0.706 0.190
Mn 0.654 0.678 0.974
Mn 0.678 0.654 0.474
Mn 0.706 0.634 0.690
O 0.067 0.598 0.739
O 0.598 0.067 0.239
F 0.020 0.670 0.418
F 0.286 0.675 0.242
F 0.292 0.703 0.911
F 0.309 0.992 0.415
F 0.334 0.980 0.072
F 0.349 0.993 0.747
F 0.389 0.658 0.577
F 0.658 0.389 0.077
F 0.670 0.020 0.918
F 0.675 0.286 0.742
F 0.678 0.959 0.575
F 0.703 0.292 0.411
F 0.959 0.678 0.075
F 0.980 0.334 0.572
F 0.992 0.309 0.915
F 0.993 0.349 0.247



[2]
LiMn5O7F: computed powder XRD pattern (Cu Kα, 1.54184 Å), based on a DFT-relaxed cell (GGA+U, Alexandria).
Lines closer than 0.1° are merged.

Largest 10 diffraction maxima, low angle first, 10° ≤ 2θ ≤ 90°:
- 2θ = 17.7°, 5.023 Å, I = 79.4
- 2θ = 18.0°, 4.915 Å, I = 35.8
- 2θ = 34.1°, 2.628 Å, I = 46.2
- 2θ = 34.3°, 2.613 Å, I = 100.0
- 2θ = 34.7°, 2.582 Å, I = 34.0
- 2θ = 41.8°, 2.163 Å, I = 87.1
- 2θ = 54.8°, 1.674 Å, I = 25.4
- 2θ = 55.1°, 1.666 Å, I = 27.5
- 2θ = 60.0°, 1.542 Å, I = 49.4
- 2θ = 61.1°, 1.517 Å, I = 42.4

Cell and atoms:
Unit cell a=6.070 b=6.070 c=6.070 alpha=61.08 beta=61.08 gamma=61.08
Element x y z (fractional)
Li 0.000 0.000 0.000
Mn 0.387 0.387 0.387
Mn 0.396 0.396 0.886
Mn 0.396 0.886 0.396
Mn 0.776 0.776 0.776
Mn 0.886 0.396 0.396
O 0.145 0.145 0.586
O 0.145 0.586 0.145
O 0.189 0.629 0.629
O 0.586 0.145 0.145
O 0.629 0.189 0.629
O 0.629 0.629 0.189
O 0.641 0.641 0.641
F 0.129 0.129 0.129